Starting from a DFT-relaxed cell (PBE, Alexandria), the X-ray diffraction stick pattern of Ca2Cd2As3 was computed for Cu Ka.
No peak broadening, texture or thermal motion is included.

Structural model:
Lattice parameters (Å, degrees): 16.0459 4.4098 12.0829 90.00 126.09 90.00
Space group C2/m (No. 12)
Unique sites:
Ca 0.1098 0.0000 0.4569 x4
Ca 0.2324 0.0000 0.8262 x4
Cd 0.0509 0.5000 0.8130 x4
Cd 0.0887 0.0000 0.1594 x4
As 0.0873 0.5000 0.6158 x4
As 0.1354 0.0000 0.9779 x4
As 0.1619 0.5000 0.3234 x4

Main lines, low angle first (2θ from 10° to 80°):
2θ (°)	Rel. int.
13.66	27
21.50	25
25.30	33
26.37	27
27.51	23
30.39	25
33.66	31
33.94	100
35.76	35
36.05	76
40.93	56
43.16	44